Computed X-ray diffraction stick pattern
Compound: MnZn3Ni7
Radiation: a wavelength of 1.5418 Å
Structure: a structure optimized by DFT (GGA-PBE)

abc: 5.865 5.865 4.569
angles: 107.05 107.05 91.16
Element x y z (fractional)
Mn  0.000  0.000  0.000
Zn  0.286  0.714  0.500
Zn  0.500  0.500  0.000
Zn  0.714  0.286  0.500
Ni  0.000  0.000  0.500
Ni  0.081  0.570  0.825
Ni  0.285  0.285  0.452
Ni  0.430  0.919  0.175
Ni  0.570  0.081  0.825
Ni  0.715  0.715  0.548
Ni  0.919  0.430  0.175

Principal peaks in the range 10 to 80 degrees two-theta, in order of rising 2θ:
two_theta, d_spacing, I/Imax
32.64, 2.743, 20
39.91, 2.259, 58
43.19, 2.094, 74
43.58, 2.077, 26
44.15, 2.051, 23
44.50, 2.036, 100
45.63, 1.988, 19
46.95, 1.935, 22
49.02, 1.858, 31
49.48, 1.842, 34
55.12, 1.666, 19
60.26, 1.536, 25